For Li13Co15O28, a structure optimized by DFT (PBE+U) gives the computed powder diffractogram in this record (a wavelength of 1.5418 Å).
Kinematic intensities with the Lorentz-polarization factor, no thermal factor.

Main lines, by angle (2θ = 10–90°):
hkl, d (Å), intensity
0 1 1, 4.831, 100
1 -3 2, 2.507, 16
3 -1 0, 2.501, 15
1 -4 1, 2.083, 67
2 0 -4, 2.062, 32
4 -4 2, 1.473, 18

Crystal structure
```
Li13Co15O28
1.0
7.7302 0.0000 0.0000
-2.2741 8.0177 0.0000
-2.0889 -2.6885 8.0833
Li Co O
13 15 28
direct
0.0000 0.0000 0.0000
0.0707 0.2149 0.7850
0.1407 0.4277 0.5713
0.2123 0.6438 0.3554
0.2847 0.8554 0.1445
0.3567 0.0725 0.9292
0.4269 0.2838 0.7140
0.5731 0.7162 0.2860
0.6433 0.9275 0.0708
0.7153 0.1446 0.8555
0.7877 0.3562 0.6446
0.8593 0.5723 0.4287
0.9293 0.7851 0.2150
0.0000 0.5000 0.0000
0.0840 0.7152 0.7840
0.1406 0.9290 0.5715
0.2146 0.1414 0.3527
0.2788 0.3561 0.1398
0.3532 0.5690 0.9300
0.4255 0.7874 0.7161
0.5000 0.0000 0.5000
0.5000 0.5000 0.5000
0.5745 0.2126 0.2839
0.6468 0.4310 0.0700
0.7212 0.6439 0.8602
0.7854 0.8586 0.6473
0.8594 0.0710 0.4285
0.9160 0.2848 0.2160
0.0105 0.2718 0.0135
0.0745 0.9570 0.7783
0.0754 0.4742 0.8020
0.1353 0.1703 0.5585
0.1419 0.6836 0.5786
0.2192 0.9015 0.3671
0.2300 0.3931 0.3622
0.2674 0.5943 0.1283
0.2810 0.1132 0.1514
0.3553 0.8084 0.9294
0.3630 0.3358 0.9344
0.4258 0.0307 0.6989
0.4456 0.5413 0.7121
0.4921 0.2582 0.4963
0.5079 0.7418 0.5037
0.5544 0.4587 0.2879
0.5742 0.9693 0.3011
0.6370 0.6642 0.0656
0.6447 0.1916 0.0706
0.7190 0.8868 0.8486
0.7326 0.4057 0.8717
0.7700 0.6069 0.6378
0.7808 0.0985 0.6329
0.8581 0.3164 0.4214
0.8647 0.8297 0.4415
0.9246 0.5258 0.1980
0.9255 0.0430 0.2217
0.9895 0.7282 0.9865
```